Entry 1:
The following is a calculated powder XRD pattern of HoZn5Au3. It was derived from a crystal structure in Alexandria, relaxed with PBE, using Cu Kα, 1.54184 Å.

Crystal structure
```
data_HoZn5Au3
_chemical_formula_sum 'Ho4 Zn20 Au12'
_space_group_name_H-M_alt 'C m c m'
_space_group_IT_number 63
_space_group_name_Hall '-C 2c 2'
_cell_length_a 4.1555
_cell_length_b 13.6021
_cell_length_c 11.9048
_cell_angle_alpha 90.00
_cell_angle_beta 90.00
_cell_angle_gamma 90.00
loop_
_atom_site_label
_atom_site_type_symbol
_atom_site_fract_x
_atom_site_fract_y
_atom_site_fract_z
Ho1 Ho 0.0000 0.1942 0.2500
Zn1 Zn 0.0000 0.0000 0.0000
Zn2 Zn 0.0000 0.1943 0.5366
Zn3 Zn 0.0000 0.4288 0.1379
Au1 Au 0.0000 0.1415 0.7500
Au2 Au 0.0000 0.3842 0.5879
```

Top 10 peaks for 10 to 90 degrees two-theta, low angle first:
- d = 3.427 Å, I = 51, (0 2 3)
- d = 3.401 Å, I = 43, (0 4 0)
- d = 2.808 Å, I = 46, (1 1 3)
- d = 2.724 Å, I = 80, (1 3 2)
- d = 2.382 Å, I = 100, (1 1 4)
- d = 2.276 Å, I = 74, (1 5 0)
- d = 2.135 Å, I = 39, (1 3 4)
- d = 2.078 Å, I = 62, (2 0 0)
- d = 1.968 Å, I = 52, (0 6 3)
- d = 1.429 Å, I = 37, (2 6 3)



Entry 2:
The following is a calculated powder XRD pattern of ThHg2Pd4. It was derived from a crystal structure in Alexandria, relaxed with PBE, using Cu Kα, 1.54184 Å.

Crystal structure
```
data_ThHg2Pd4
_chemical_formula_sum 'Th2 Hg4 Pd8'
_space_group_name_H-M_alt 'C m m m'
_space_group_IT_number 65
_space_group_name_Hall '-C 2 2'
_cell_length_a 5.9127
_cell_length_b 9.8916
_cell_length_c 4.9734
_cell_angle_alpha 90.00
_cell_angle_beta 90.00
_cell_angle_gamma 90.00
loop_
_atom_site_label
_atom_site_type_symbol
_atom_site_fract_x
_atom_site_fract_y
_atom_site_fract_z
Th1 Th 0.0000 0.0000 0.0000
Hg1 Hg 0.0000 0.2522 0.5000
Pd1 Pd 0.2409 0.5000 0.5000
Pd2 Pd 0.2500 0.2500 0.0000
```

Top 10 peaks for 10 to 90 degrees two-theta, low angle first:
- d = 5.075 Å, I = 14, (1 1 0)
- d = 3.552 Å, I = 17, (1 1 1)
- d = 2.487 Å, I = 39, (0 0 2)
- d = 2.473 Å, I = 32, (0 4 0)
- d = 2.260 Å, I = 100, (2 2 1)
- d = 1.754 Å, I = 26, (0 4 2)
- d = 1.388 Å, I = 21, (2 2 3)
- d = 1.383 Å, I = 21, (2 6 1)
- d = 1.271 Å, I = 8, (4 0 2)
- d = 1.130 Å, I = 11, (4 4 2)



Entry 3:
The following is a calculated powder XRD pattern of Ce4OsRu2. It was derived from a crystal structure in Alexandria, relaxed with PBE, using Cu Kα, 1.54184 Å.

Crystal structure
```
data_Ce4OsRu2
_chemical_formula_sum 'Ce8 Os2 Ru4'
_space_group_name_H-M_alt 'P 1'
_space_group_IT_number 1
_cell_length_a 7.1549
_cell_length_b 7.3424
_cell_length_c 7.6331
_cell_angle_alpha 109.22
_cell_angle_beta 108.14
_cell_angle_gamma 108.96
loop_
_space_group_symop_operation_xyz
'x,y,z'
loop_
_atom_site_label
_atom_site_type_symbol
_atom_site_fract_x
_atom_site_fract_y
_atom_site_fract_z
Ce1 Ce 0.0000 0.0000 0.0000
Ce2 Ce 0.0112 0.0237 0.5284
Ce3 Ce 0.1298 0.6319 0.2611
Ce4 Ce 0.3915 0.5447 0.6721
Ce5 Ce 0.4894 0.4019 0.1094
Ce6 Ce 0.5121 0.9231 0.1518
Ce7 Ce 0.6144 0.1264 0.7345
Ce8 Ce 0.8480 0.5017 0.5869
Os1 Os 0.1094 0.4264 0.8829
Os2 Os 0.3560 0.1711 0.3791
Ru1 Ru 0.2569 0.8980 0.7658
Ru2 Ru 0.6238 0.7662 0.4965
Ru3 Ru 0.7656 0.6012 0.9798
Ru4 Ru 0.9163 0.2518 0.2807
```

Top 10 peaks for 10 to 90 degrees two-theta, low angle first:
- d = 2.802 Å, I = 61, (1 -1 2)
- d = 2.746 Å, I = 100, (1 -2 2)
- d = 2.712 Å, I = 83, (-2 1 2)
- d = 2.686 Å, I = 80, (1 2 -1)
- d = 2.676 Å, I = 57, (-2 2 1)
- d = 2.654 Å, I = 79, (2 1 -2)
- d = 2.384 Å, I = 47, (1 0 -3)
- d = 2.347 Å, I = 41, (0 2 -3)
- d = 2.252 Å, I = 43, (2 -3 1)
- d = 2.233 Å, I = 48, (3 -1 0)